The following is a theoretical powder diffractogram of Ba14Na14CaN6. It was derived from a crystal structure in Alexandria, relaxed with PBE, using Cu Ka.

Crystal structure
```
data_Ba14Na14CaN6
_chemical_formula_sum 'Ba56 Na56 Ca4 N24'
_symmetry_space_group_name_H-M 'F m -3 m'
_symmetry_Int_Tables_number 225
_symmetry_space_group_name_Hall '-F 4 2 3'
_cell_length_a 17.8547
_cell_length_b 17.8547
_cell_length_c 17.8547
_cell_angle_alpha 90.00
_cell_angle_beta 90.00
_cell_angle_gamma 90.00
loop_
_atom_site_label
_atom_site_type_symbol
_atom_site_fract_x
_atom_site_fract_y
_atom_site_fract_z
Ba1 Ba 0.0000 0.0000 0.2133
Ba2 Ba 0.1070 0.1070 0.3930
Na1 Na 0.0000 0.2500 0.2500
Na2 Na 0.1711 0.1711 0.1711
Ca1 Ca 0.0000 0.0000 0.5000
N1 N 0.0000 0.0000 0.3552
```

Most intense lines, 15 to 90 degrees two-theta, by angle:
hkl 2 2 2, 17.20°, 5.154 Å, I 26; hkl 3 3 1, 21.70°, 4.096 Å, I 17; hkl 4 2 2, 24.42°, 3.645 Å, I 20; hkl 5 1 1, 25.93°, 3.436 Å, I 93; hkl 4 4 0, 28.27°, 3.156 Å, I 100; hkl 6 4 0, 36.28°, 2.476 Å, I 31; hkl 5 5 3, 38.74°, 2.324 Å, I 28; hkl 6 6 0, 42.98°, 2.104 Å, I 15; hkl 5 5 5, 43.92°, 2.062 Å, I 22; hkl 9 5 1, 53.06°, 1.726 Å, I 45; hkl 9 9 5, 72.38°, 1.306 Å, I 16; hkl 14 4 0, 77.90°, 1.226 Å, I 14

***

The following is a theoretical powder diffractogram of Ba14Na21CaN6. It was derived from a crystal structure in Alexandria, relaxed with PBE, using Cu Ka.

Crystal structure
```
data_Ba14Na21CaN6
_chemical_formula_sum 'Ba28 Na42 Ca2 N12'
_symmetry_space_group_name_H-M 'C 1 2/m 1'
_symmetry_Int_Tables_number 12
_symmetry_space_group_name_Hall '-C 2y'
_cell_length_a 21.3967
_cell_length_b 12.5982
_cell_length_c 16.2250
_cell_angle_alpha 90.00
_cell_angle_beta 129.41
_cell_angle_gamma 90.00
loop_
_atom_site_label
_atom_site_type_symbol
_atom_site_fract_x
_atom_site_fract_y
_atom_site_fract_z
Ba1 Ba 0.0080 0.2122 0.2267
Ba2 Ba 0.1017 0.5000 0.9107
Ba3 Ba 0.1167 0.2869 0.0939
Ba4 Ba 0.1275 0.5000 0.2671
Ba5 Ba 0.1922 0.0000 0.7693
Na1 Na 0.0000 0.0000 0.0000
Na2 Na 0.0000 0.1816 0.5000
Na3 Na 0.0542 0.5000 0.4514
Na4 Na 0.1311 0.0000 0.4700
Na5 Na 0.1482 0.3520 0.7193
Na6 Na 0.1762 0.0000 0.0241
Na7 Na 0.1938 0.0000 0.2889
Na8 Na 0.2015 0.2696 0.5563
Na9 Na 0.2500 0.2500 0.0000
Ca1 Ca 0.0000 0.5000 0.0000
N1 N 0.0073 0.3560 0.1181
N2 N 0.1558 0.5000 0.1212
```

Most intense lines, 15 to 90 degrees two-theta, by angle:
hkl 4 2 -2, 21.83°, 4.072 Å, I 22; hkl 1 3 -2, 24.13°, 3.688 Å, I 27; hkl 3 3 -2, 24.93°, 3.572 Å, I 24; hkl 6 0 -2, 25.77°, 3.457 Å, I 25; hkl 4 2 -4, 26.36°, 3.381 Å, I 39; hkl 2 2 2, 26.71°, 3.338 Å, I 100; hkl 3 3 -3, 27.01°, 3.301 Å, I 22; hkl 4 0 -5, 27.51°, 3.243 Å, I 37; hkl 5 1 0, 27.90°, 3.198 Å, I 22; hkl 0 4 0, 28.35°, 3.148 Å, I 42; hkl 6 2 -3, 28.78°, 3.102 Å, I 59; hkl 10 0 -7, 45.24°, 2.004 Å, I 28

***

The following is a theoretical powder diffractogram of BaCa2OsN4. It was derived from a crystal structure in Alexandria, relaxed with PBE, using Cu Ka.

Crystal structure
```
data_BaCa2OsN4
_chemical_formula_sum 'Ba2 Ca4 Os2 N8'
_symmetry_space_group_name_H-M 'P m n 21'
_symmetry_Int_Tables_number 31
_symmetry_space_group_name_Hall 'P 2ac -2'
_cell_length_a 7.7476
_cell_length_b 6.4509
_cell_length_c 6.0584
_cell_angle_alpha 90.00
_cell_angle_beta 90.00
_cell_angle_gamma 90.00
loop_
_atom_site_label
_atom_site_type_symbol
_atom_site_fract_x
_atom_site_fract_y
_atom_site_fract_z
Ba1 Ba 0.0000 0.1296 0.0000
Ca1 Ca 0.2417 0.3431 0.5126
Os1 Os 0.0000 0.8122 0.5237
N1 N 0.0000 0.1046 0.4933
N2 N 0.0000 0.7497 0.8263
N3 N 0.1926 0.6894 0.3909
```

Most intense lines, 15 to 90 degrees two-theta, by angle:
hkl 0 1 1, 20.11°, 4.416 Å, I 57; hkl 2 0 0, 22.96°, 3.874 Å, I 30; hkl 2 1 0, 26.85°, 3.321 Å, I 38; hkl 0 0 2, 29.49°, 3.029 Å, I 48; hkl 2 1 1, 30.70°, 2.912 Å, I 100; hkl 0 2 1, 31.42°, 2.847 Å, I 48; hkl 2 2 1, 39.27°, 2.294 Å, I 18; hkl 2 1 2, 40.30°, 2.238 Å, I 23; hkl 2 3 0, 48.42°, 1.880 Å, I 23; hkl 2 1 3, 53.08°, 1.725 Å, I 26; hkl 4 2 1, 57.55°, 1.601 Å, I 18; hkl 2 3 2, 57.71°, 1.597 Å, I 21

***

The following is a theoretical powder diffractogram of BaCa2P2N6. It was derived from a crystal structure in Alexandria, relaxed with PBE, using Cu Ka.

Crystal structure
```
data_BaCa2P2N6
_chemical_formula_sum 'Ba1 Ca2 P2 N6'
_symmetry_space_group_name_H-M 'P -1'
_symmetry_Int_Tables_number 2
_symmetry_space_group_name_Hall '-P 1'
_cell_length_a 5.9705
_cell_length_b 6.3963
_cell_length_c 7.0346
_cell_angle_alpha 116.85
_cell_angle_beta 114.57
_cell_angle_gamma 90.60
loop_
_atom_site_label
_atom_site_type_symbol
_atom_site_fract_x
_atom_site_fract_y
_atom_site_fract_z
Ba1 Ba 0.0000 0.0000 0.0000
Ca1 Ca 0.3430 0.4558 0.6872
P1 P 0.3499 0.9319 0.6962
N1 N 0.0835 0.7758 0.6069
N2 N 0.4440 0.2100 0.8845
N3 N 0.4737 0.2238 0.3913
```

Most intense lines, 15 to 90 degrees two-theta, by angle:
hkl 0 1 -1, 16.00°, 5.539 Å, I 100; hkl 1 -1 0, 20.24°, 4.387 Å, I 23; hkl 1 1 -1, 20.46°, 4.342 Å, I 23; hkl -1 1 1, 26.01°, 3.425 Å, I 27; hkl 0 2 -1, 27.91°, 3.197 Å, I 35; hkl 1 0 1, 28.37°, 3.146 Å, I 41; hkl 1 0 -2, 28.50°, 3.132 Å, I 41; hkl 2 0 -1, 29.93°, 2.985 Å, I 32; hkl 1 -2 1, 32.61°, 2.746 Å, I 22; hkl 1 2 -2, 32.93°, 2.720 Å, I 21; hkl 1 2 -3, 40.38°, 2.234 Å, I 16; hkl 0 1 2, 43.22°, 2.093 Å, I 29

***

The following is a theoretical powder diffractogram of BaCa2PN. It was derived from a crystal structure in Alexandria, relaxed with PBE, using Cu Ka.

Crystal structure
```
data_BaCa2PN
_chemical_formula_sum 'Ba1 Ca2 P1 N1'
_symmetry_space_group_name_H-M 'P 4/m m m'
_symmetry_Int_Tables_number 123
_symmetry_space_group_name_Hall '-P 4 2'
_cell_length_a 4.8139
_cell_length_b 4.8139
_cell_length_c 5.4251
_cell_angle_alpha 90.00
_cell_angle_beta 90.00
_cell_angle_gamma 90.00
loop_
_atom_site_label
_atom_site_type_symbol
_atom_site_fract_x
_atom_site_fract_y
_atom_site_fract_z
Ba1 Ba 0.0000 0.0000 0.0000
Ca1 Ca 0.0000 0.5000 0.5000
P1 P 0.5000 0.5000 0.0000
N1 N 0.0000 0.0000 0.5000
```

Most intense lines, 15 to 90 degrees two-theta, by angle:
hkl 1 0 0, 18.43°, 4.814 Å, I 42; hkl 1 0 1, 24.73°, 3.601 Å, I 23; hkl 1 1 0, 26.18°, 3.404 Å, I 12; hkl 1 1 1, 31.02°, 2.883 Å, I 100; hkl 0 0 2, 33.02°, 2.713 Å, I 26; hkl 2 0 0, 37.36°, 2.407 Å, I 37; hkl 1 0 2, 38.08°, 2.363 Å, I 14; hkl 2 0 2, 50.71°, 1.800 Å, I 29; hkl 2 2 0, 53.87°, 1.702 Å, I 12; hkl 1 1 3, 57.73°, 1.597 Å, I 16; hkl 3 1 1, 63.47°, 1.466 Å, I 24; hkl 2 2 2, 64.65°, 1.442 Å, I 14

***

The following is a theoretical powder diffractogram of Ba3CaRe2N6. It was derived from a crystal structure in Alexandria, relaxed with PBE, using Cu Ka.

Crystal structure
```
data_Ba3CaRe2N6
_chemical_formula_sum 'Ba3 Ca1 Re2 N6'
_symmetry_space_group_name_H-M 'P -3 m 1'
_symmetry_Int_Tables_number 164
_symmetry_space_group_name_Hall '-P 3 2"'
_cell_length_a 6.3492
_cell_length_b 6.3492
_cell_length_c 7.2959
_cell_angle_alpha 90.00
_cell_angle_beta 90.00
_cell_angle_gamma 120.00
loop_
_atom_site_label
_atom_site_type_symbol
_atom_site_fract_x
_atom_site_fract_y
_atom_site_fract_z
Ba1 Ba 0.0000 0.0000 0.0000
Ba2 Ba 0.3333 0.6667 0.7102
Ca1 Ca 0.0000 0.0000 0.5000
Re1 Re 0.3333 0.6667 0.2394
N1 N 0.1721 0.3443 0.2838
```

Most intense lines, 15 to 90 degrees two-theta, by angle:
hkl 0 1 1, 20.22°, 4.391 Å, I 19; hkl 0 0 2, 24.40°, 3.648 Å, I 20; hkl 1 1 0, 28.11°, 3.175 Å, I 100; hkl 0 1 2, 29.38°, 3.040 Å, I 69; hkl 1 1 2, 37.56°, 2.395 Å, I 24; hkl 2 0 2, 41.11°, 2.196 Å, I 34; hkl 3 0 0, 49.75°, 1.833 Å, I 21; hkl 1 2 2, 50.54°, 1.806 Å, I 30; hkl 2 2 0, 58.11°, 1.587 Å, I 16; hkl 1 1 4, 58.35°, 1.581 Å, I 21; hkl 3 1 2, 66.45°, 1.407 Å, I 14; hkl 4 1 0, 79.96°, 1.200 Å, I 11

***

The following is a theoretical powder diffractogram of Ba3Ca2Si2N6. It was derived from a crystal structure in Alexandria, relaxed with PBE, using Cu Ka.

Crystal structure
```
data_Ba3Ca2Si2N6
_chemical_formula_sum 'Ba12 Ca8 Si8 N24'
_symmetry_space_group_name_H-M 'C 1 2/c 1'
_symmetry_Int_Tables_number 15
_symmetry_space_group_name_Hall '-C 2yc'
_cell_length_a 10.1367
_cell_length_b 6.9033
_cell_length_c 13.4519
_cell_angle_alpha 90.00
_cell_angle_beta 101.67
_cell_angle_gamma 90.00
loop_
_atom_site_label
_atom_site_type_symbol
_atom_site_fract_x
_atom_site_fract_y
_atom_site_fract_z
Ba1 Ba 0.0000 0.0943 0.2500
Ba2 Ba 0.0590 0.2386 0.9913
Ca1 Ca 0.1515 0.4431 0.7184
Si1 Si 0.2208 0.3491 0.4201
N1 N 0.0632 0.4513 0.3700
N2 N 0.1682 0.1084 0.6623
N3 N 0.2112 0.0902 0.4474
```

Most intense lines, 15 to 90 degrees two-theta, by angle:
hkl 2 0 0, 17.87°, 4.964 Å, I 55; hkl 1 1 -3, 24.16°, 3.683 Å, I 45; hkl 0 0 4, 27.07°, 3.294 Å, I 66; hkl 0 2 2, 29.21°, 3.057 Å, I 100; hkl 3 1 -1, 29.46°, 3.032 Å, I 22; hkl 3 1 1, 31.94°, 2.802 Å, I 78; hkl 0 2 3, 32.98°, 2.716 Å, I 47; hkl 3 1 -3, 33.08°, 2.708 Å, I 95; hkl 2 0 4, 35.63°, 2.519 Å, I 46; hkl 2 2 2, 35.91°, 2.501 Å, I 30; hkl 3 3 -1, 47.84°, 1.901 Å, I 34; hkl 1 1 -7, 49.20°, 1.852 Å, I 32

***

The following is a theoretical powder diffractogram of BaCaSnN2. It was derived from a crystal structure in Alexandria, relaxed with PBE, using Cu Ka.

Crystal structure
```
data_BaCaSnN2
_chemical_formula_sum 'Ba1 Ca1 Sn1 N2'
_symmetry_space_group_name_H-M 'P 4/m m m'
_symmetry_Int_Tables_number 123
_symmetry_space_group_name_Hall '-P 4 2'
_cell_length_a 4.7386
_cell_length_b 4.7386
_cell_length_c 6.3768
_cell_angle_alpha 90.00
_cell_angle_beta 90.00
_cell_angle_gamma 90.00
loop_
_atom_site_label
_atom_site_type_symbol
_atom_site_fract_x
_atom_site_fract_y
_atom_site_fract_z
Ba1 Ba 0.0000 0.0000 0.0000
Ca1 Ca 0.5000 0.5000 0.5000
Sn1 Sn 0.0000 0.0000 0.5000
N1 N 0.0000 0.5000 0.0000
```

Most intense lines, 15 to 90 degrees two-theta, by angle:
hkl 1 0 0, 18.73°, 4.739 Å, I 100; hkl 1 1 0, 26.60°, 3.351 Å, I 71; hkl 0 0 2, 27.98°, 3.188 Å, I 46; hkl 1 0 2, 33.89°, 2.645 Å, I 47; hkl 2 0 0, 37.98°, 2.369 Å, I 40; hkl 1 1 2, 38.99°, 2.310 Å, I 52; hkl 2 1 0, 42.67°, 2.119 Å, I 25; hkl 2 0 2, 47.83°, 1.902 Å, I 41; hkl 2 1 2, 51.80°, 1.765 Å, I 29; hkl 3 1 0, 61.92°, 1.498 Å, I 14; hkl 2 2 2, 62.64°, 1.483 Å, I 18; hkl 3 1 2, 69.28°, 1.356 Å, I 20